(1)
Starting from a structure optimized by DFT (GGA-PBE), the powder XRD pattern of Sm3ErRu was computed for copper Kα.

Peak list (10 most intense, 15 to 90 degrees two-theta, low angle first)
- 28.0°, intensity 62, (2 0 2)
- 30.5°, intensity 47, (2 2 0)
- 30.8°, intensity 26, (3 1 0)
- 31.6°, intensity 100, (0 2 2)
- 37.3°, intensity 19, (3 1 2)
- 38.1°, intensity 21, (4 0 0)
- 41.7°, intensity 24, (0 0 4)
- 50.3°, intensity 36, (4 2 2)
- 51.3°, intensity 20, (3 3 2)
- 52.5°, intensity 21, (2 2 4)

Cell and atoms:
```
data_Sm3ErRu
_space_group_name_H-M_alt 'I m a 2'
_space_group_IT_number 46
_space_group_name_Hall 'I 2 -2a'
_cell_length_a 9.4406
_cell_length_b 7.4812
_cell_length_c 8.6645
_cell_angle_alpha 90.00
_cell_angle_beta 90.00
_cell_angle_gamma 90.00
loop_
_atom_site_label
_atom_site_fract_x
_atom_site_fract_y
_atom_site_fract_z
_atom_site_occupancy
Sm1 0.0390 0.2482 0.0000 1
Sm2 0.2500 0.5198 0.7523 1
Er1 0.2500 0.5258 0.2476 1
Ru1 0.2500 0.7448 0.5000 1
```

(2)
Starting from a structure optimized by DFT (GGA-PBE), the powder XRD pattern of Ca3Sc2N4 was computed for copper Kα.

Peak list (10 most intense, 15 to 90 degrees two-theta, low angle first)
- 28.9°, intensity 20, (0 0 2)
- 30.3°, intensity 48, (3 1 -1)
- 30.4°, intensity 100, (2 2 1)
- 31.8°, intensity 38, (1 1 -2)
- 42.6°, intensity 36, (0 4 0)
- 42.8°, intensity 31, (5 1 0)
- 43.0°, intensity 31, (3 3 -1)
- 44.1°, intensity 24, (1 3 -2)
- 44.6°, intensity 28, (4 0 2)
- 49.2°, intensity 28, (0 2 3)

Cell and atoms:
```
data_Ca3Sc2N4
_space_group_name_H-M_alt 'C 1 2/c 1'
_space_group_IT_number 15
_space_group_name_Hall '-C 2yc'
_cell_length_a 10.8996
_cell_length_b 8.4931
_cell_length_c 6.1792
_cell_angle_alpha 90.00
_cell_angle_beta 90.56
_cell_angle_gamma 90.00
loop_
_atom_site_label
_atom_site_fract_x
_atom_site_fract_y
_atom_site_fract_z
_atom_site_occupancy
Ca1 0.0000 0.1042 0.2500 1
Ca2 0.1126 0.3709 0.4856 1
Sc1 0.1895 0.1243 0.8938 1
N1 0.1204 0.3332 0.0680 1
N2 0.1473 0.0837 0.5645 1
```

(3)
Starting from a structure optimized by DFT (GGA-PBE), the powder XRD pattern of Al2Zn5 was computed for copper Kα.

Peak list (10 most intense, 15 to 90 degrees two-theta, low angle first)
- 30.4°, intensity 81, (0 0 1)
- 31.9°, intensity 56, (3 1 0)
- 36.6°, intensity 50, (3 2 0)
- 38.1°, intensity 40, (2 1 1)
- 42.0°, intensity 100, (4 1 0)
- 43.3°, intensity 30, (3 3 0)
- 44.6°, intensity 76, (3 1 1)
- 48.2°, intensity 40, (3 2 1)
- 52.7°, intensity 27, (4 1 1)
- 75.9°, intensity 29, (7 1 0)

Cell and atoms:
```
data_Al2Zn5
_space_group_name_H-M_alt 'P 4/m b m'
_space_group_IT_number 127
_space_group_name_Hall '-P 4 2ab'
_cell_length_a 8.8638
_cell_length_b 8.8638
_cell_length_c 2.9450
_cell_angle_alpha 90.00
_cell_angle_beta 90.00
_cell_angle_gamma 90.00
loop_
_atom_site_label
_atom_site_fract_x
_atom_site_fract_y
_atom_site_fract_z
_atom_site_occupancy
Al1 0.1809 0.3191 0.0000 1
Zn1 0.0000 0.5000 0.5000 1
Zn2 0.0603 0.7963 0.5000 1
```